(1)
Starting from a cell relaxed with GGA-PBE, the PXRD pattern of Pr3Tm5Sc2 was calculated for Cu Kα (weighted mean of Kα1 and Kα2).

Top 10 peaks for 10 to 90 degrees two-theta, by angle:
Position (°2θ)  Rel. int.  index
30.96  46  1 -3 0
31.74  100  2 0 1
31.95  46  0 2 -3
32.93  41  2 2 -2
33.08  47  -1 1 3
33.52  10  0 3 0
43.13  14  3 -3 1
46.71  15  1 3 1
48.05  15  3 1 -5
58.27  21  1 1 4

a b c (Å): 8.6980 8.8923 9.8592
angles (deg): 102.89 115.99 103.56
Space group P-1 (No. 2)
Inequivalent atoms, fractional coordinates:
Pr (0.0651, 0.1698, 0.4593) x2
Pr (0.1780, 0.1934, 0.1501) x2
Pr (0.2572, 0.5585, 0.0526) x2
Tm (0.0652, 0.5104, 0.3559) x2
Tm (0.1301, 0.8371, 0.2459) x2
Tm (0.3127, 0.2193, 0.8572) x2
Tm (0.3771, 0.5798, 0.7438) x2
Tm (0.4303, 0.9583, 0.6550) x2
Sc (0.2862, 0.8808, 0.9367) x2
Sc (0.4923, 0.6649, 0.4501) x2



(2)
Starting from a cell relaxed with GGA-PBE, the PXRD pattern of Er4Bi2Pb was calculated for Cu Kα (weighted mean of Kα1 and Kα2).

Top 10 peaks for 10 to 90 degrees two-theta, by angle:
Position (°2θ)  Rel. int.  index
18.25  28  2 0 0
25.92  66  2 2 0
29.10  25  3 0 1
29.59  100  1 0 3
34.57  77  3 2 1
34.72  30  3 1 2
36.98  52  4 0 0
39.73  28  3 0 3
43.84  29  3 3 2
55.40  26  5 0 3

a b c (Å): 9.7229 9.7229 9.5288
angles (deg): 90.00 90.00 90.00
Space group I4_1/amd (No. 141, origin choice 2)
Inequivalent atoms, fractional coordinates:
Er (0.0000, 0.0607, 0.1860) x16
Bi (0.0000, 0.0000, 0.5000) x8
Pb (0.0000, 0.2500, 0.8750) x4



(3)
Starting from a cell relaxed with GGA-PBE, the PXRD pattern of Na8B11C5 was calculated for Cu Kα (weighted mean of Kα1 and Kα2).

Top 10 peaks for 10 to 90 degrees two-theta, by angle:
Position (°2θ)  Rel. int.  index
35.33  10  0 0 4
36.15  18  1 0 2
41.34  51  0 2 4
42.06  100  1 2 2
42.29  38  0 4 0
56.83  10  1 4 2
63.95  18  1 0 6
77.18  13  1 6 2
79.69  17  1 4 6
80.52  11  2 2 4

a b c (Å): 2.8483 8.5483 10.1631
angles (deg): 90.00 90.00 90.00
Space group Pmm2 (No. 25)
Inequivalent atoms, fractional coordinates:
Na (0.0000, 0.2445, 0.0000) x2
Na (0.0000, 0.2485, 0.4997) x2
Na (0.5000, 0.2469, 0.2501) x2
Na (0.5000, 0.2482, 0.7495) x2
B (0.0000, 0.0000, 0.3352) x1
B (0.0000, 0.0000, 0.8341) x1
B (0.0000, 0.5000, 0.1571) x1
B (0.0000, 0.5000, 0.3237) x1
B (0.0000, 0.5000, 0.6736) x1
B (0.0000, 0.5000, 0.8353) x1
B (0.5000, 0.0000, 0.0846) x1
B (0.5000, 0.0000, 0.5848) x1
B (0.5000, 0.5000, 0.4146) x1
B (0.5000, 0.5000, 0.5786) x1
B (0.5000, 0.5000, 0.9335) x1
C (0.0000, 0.0000, 0.1675) x1
C (0.0000, 0.0000, 0.6675) x1
C (0.5000, 0.0000, 0.4176) x1
C (0.5000, 0.0000, 0.9173) x1
C (0.5000, 0.5000, 0.0846) x1